This entry pairs a crystal structure of Rb2NiAsO4 with its theoretical powder XRD pattern. Radiation: Cu Ka. Structure: a structure optimized by DFT (PBE+U).

Top 12 peaks for 10° ≤ 2θ ≤ 80°, in order of falling intensity:
2θ (°), I (rel.), hkl
27.31, 1000, 1 -1 1
29.16, 979, 0 1 1
33.23, 805, -2 1 1
30.29, 773, 1 1 -1
29.42, 739, 1 0 -2
32.46, 711, 1 -2 0
40.79, 387, 0 2 -2
54.66, 363, 0 3 -1
41.68, 317, 2 0 0
58.20, 186, -3 1 3
31.64, 177, 0 1 -2
53.74, 176, 2 -3 1

Cell and atoms:
```
data_Rb2NiAsO4
_space_group_name_H-M_alt 'P 1'
_space_group_IT_number 1
_space_group_name_Hall 'P 1'
_cell_length_a 5.439
_cell_length_b 5.579
_cell_length_c 6.230
_cell_angle_alpha 98.40
_cell_angle_beta 111.19
_cell_angle_gamma 115.21
loop_
_atom_site_label
_atom_site_type_symbol
_atom_site_fract_x
_atom_site_fract_y
_atom_site_fract_z
Rb1 Rb 0.000 0.000 0.000
Rb2 Rb 0.462 0.250 0.734
Ni1 Ni 0.905 0.436 0.413
As1 As 0.501 0.768 0.305
O1 O 0.174 0.729 0.323
O2 O 0.439 0.739 0.011
O3 O 0.564 0.511 0.396
O4 O 0.813 0.101 0.519
```